Entry 1:
Diffraction record for Pm5PrYEr2. The powder diffractogram is calculated, not measured: it uses DFT lattice parameters and positions (PBE) and Cu Kα.
Peak positions follow from Bragg's law for the DFT cell and can differ from measured ones.

Structure:
```
Pm5PrYEr2
1.0
2.8468 -10.1430 0.0000
2.8468 10.1430 0.0000
0.0000 0.0000 10.6710
Pm Pr Y Er
10 2 2 4
Cartesian
2.8468 9.7928 5.3355
2.8468 4.4470 8.4394
2.8468 4.1025 1.9940
2.8468 2.2845 5.3519
2.8468 0.4215 2.3330
2.8468 -0.4215 7.6685
2.8468 -2.2845 0.0164
2.8468 -4.1025 7.3295
2.8468 -4.4470 3.1039
2.8468 -9.7928 0.0000
2.8468 1.7503 9.9322
2.8468 -1.7503 4.5967
2.8468 6.0943 5.2284
2.8468 -6.0943 10.5639
2.8468 7.8501 2.2658
2.8468 7.7919 8.5123
2.8468 -7.7919 3.1768
2.8468 -7.8501 7.6013
```

Most intense lines, 2θ from 15° to 90°, low angle first:
2θ/deg	intensity
26.41	12
27.68	17
29.95	37
31.42	42
31.86	100
56.22	20
58.67	14
60.76	14

=====

Entry 2:
Diffraction record for YP. The powder diffractogram is calculated, not measured: it uses DFT lattice parameters and positions (PBE) and Cu Kα.
Peak positions follow from Bragg's law for the DFT cell and can differ from measured ones.

Structure:
```
YP
1.0
5.6754 0.0000 0.0000
0.0000 5.6754 0.0000
0.0000 0.0000 5.6754
Y P
4 4
Cartesian
0.0000 0.0000 0.0000
0.0000 2.8377 2.8377
2.8377 0.0000 2.8377
2.8377 2.8377 0.0000
0.0000 0.0000 2.8377
0.0000 2.8377 0.0000
2.8377 0.0000 0.0000
2.8377 2.8377 2.8377
```

Most intense lines, 2θ from 15° to 90°, low angle first:
2θ/deg	intensity
27.22	46
31.53	100
45.19	70
53.55	22
56.14	24
65.82	11
74.81	30
83.43	23